The following is a simulated powder XRD pattern of Sc3Cl2. It was derived from DFT lattice parameters and positions (GGA-PBE), using Cu Kα (weighted mean of Kα1 and Kα2).

Principal peaks in the range 10 to 90 degrees two-theta, sorted by position:
d = 2.943 Å, rel. 100.0; d = 2.617 Å, rel. 71.4; d = 2.535 Å, rel. 59.4; d = 2.456 Å, rel. 15.0; d = 2.350 Å, rel. 31.5; d = 2.152 Å, rel. 20.5; d = 2.058 Å, rel. 18.3; d = 2.036 Å, rel. 14.5; d = 1.977 Å, rel. 35.4; d = 1.868 Å, rel. 14.0; d = 1.838 Å, rel. 17.1; d = 1.567 Å, rel. 12.4

Crystal structure
a = 10.6743 Å, b = 14.1078 Å, c = 5.6375 Å
α = 90.00°, β = 90.00°, γ = 90.00°
Space group Fdd2 (No. 43)
Inequivalent atoms, fractional coordinates:
1 Sc 0.0000 0.0000 0.0000 [8 per cell]
2 Sc 0.1200 0.0637 0.4879 [16 per cell]
3 Cl 0.0240 0.3277 0.2670 [16 per cell]